For Fe7Si4O16, a crystal structure in Alexandria, relaxed with GGA+U gives the calculated XRD peak list in this record (CuKα).
Kinematic intensities with the Lorentz-polarization factor, no thermal factor.

Structure:
```
data_Fe7Si4O16
_chemical_formula_sum 'Fe14 Si8 O32'
_space_group_name_H-M_alt 'P 1 21/c 1'
_space_group_IT_number 14
_space_group_name_Hall '-P 2ybc'
_cell_length_a 11.7613
_cell_length_b 4.8654
_cell_length_c 10.2278
_cell_angle_alpha 90.00
_cell_angle_beta 90.99
_cell_angle_gamma 90.00
loop_
_atom_site_label
_atom_site_type_symbol
_atom_site_fract_x
_atom_site_fract_y
_atom_site_fract_z
_atom_site_occupancy
Fe1 Fe 0.0000 0.0000 0.0000 1
Fe2 Fe 0.1286 0.0098 0.2759 1
Fe3 Fe 0.2688 0.5020 0.5079 1
Fe4 Fe 0.3808 0.5097 0.2308 1
Si1 Si 0.1304 0.5673 0.0978 1
Si2 Si 0.3837 0.0623 0.4040 1
O1 O 0.0202 0.7148 0.1675 1
O2 O 0.1299 0.2306 0.0965 1
O3 O 0.1312 0.7039 0.9493 1
O4 O 0.2424 0.7161 0.1725 1
O5 O 0.2761 0.2367 0.3311 1
O6 O 0.3748 0.1673 0.5574 1
O7 O 0.3753 0.7286 0.3929 1
O8 O 0.4870 0.2107 0.3216 1
```

Main lines, by angle (5 to 70 degrees two-theta):
- (2 1 1), 25.40°, d = 3.507 Å, rel. 100
- (0 1 3), 32.06°, d = 2.792 Å, rel. 89
- (2 1 -3), 35.41°, d = 2.535 Å, rel. 94
- (4 1 -1), 36.65°, d = 2.452 Å, rel. 54
- (4 1 1), 36.93°, d = 2.434 Å, rel. 72
- (4 2 -2), 51.77°, d = 1.766 Å, rel. 49

For Fe2SiSnO6, a crystal structure in Alexandria, relaxed with GGA+U gives the calculated XRD peak list in this record (CuKα).
Kinematic intensities with the Lorentz-polarization factor, no thermal factor.

Structure:
```
data_Fe2SiSnO6
_chemical_formula_sum 'Fe2 Si1 Sn1 O6'
_space_group_name_H-M_alt 'P 1'
_space_group_IT_number 1
_space_group_name_Hall 'P 1'
_cell_length_a 5.1692
_cell_length_b 5.1903
_cell_length_c 5.4017
_cell_angle_alpha 61.32
_cell_angle_beta 89.98
_cell_angle_gamma 60.17
loop_
_atom_site_label
_atom_site_type_symbol
_atom_site_fract_x
_atom_site_fract_y
_atom_site_fract_z
_atom_site_occupancy
Fe1 Fe 0.0000 0.0000 0.0000 1
Fe2 Fe 0.4983 0.0129 0.4834 1
Si1 Si 0.7888 0.4327 0.3564 1
Sn1 Sn 0.2854 0.4401 0.8477 1
O1 O 0.0465 0.2907 0.1588 1
O2 O 0.1412 0.2760 0.6312 1
O3 O 0.4490 0.5240 0.1536 1
O4 O 0.5810 0.5251 0.6191 1
O5 O 0.6837 0.8819 0.1552 1
O6 O 0.9024 0.9636 0.6185 1
```

Main lines, by angle (5 to 70 degrees two-theta):
- (1 1 0), 20.85°, d = 4.260 Å, rel. 40
- (1 0 1), 33.21°, d = 2.698 Å, rel. 100
- (-1 1 1), 34.55°, d = 2.596 Å, rel. 59
- (2 1 0), 34.71°, d = 2.585 Å, rel. 28
- (2 0 -2), 48.81°, d = 1.866 Å, rel. 31
- (2 1 2), 54.02°, d = 1.698 Å, rel. 27

For Tl2FeSiO4, a crystal structure in Alexandria, relaxed with GGA+U gives the calculated XRD peak list in this record (CuKα).
Kinematic intensities with the Lorentz-polarization factor, no thermal factor.

Structure:
```
data_Tl2FeSiO4
_chemical_formula_sum 'Tl16 Fe8 Si8 O32'
_space_group_name_H-M_alt 'F d d d'
_space_group_IT_number 70
_cell_length_a 5.2218
_cell_length_b 11.4019
_cell_length_c 20.3700
_cell_angle_alpha 90.00
_cell_angle_beta 90.00
_cell_angle_gamma 90.00
loop_
_space_group_symop_operation_xyz
'x,y,z'
'-x,-y,-z'
'-x+1/4,-y+1/4,z'
'x+1/4,y+1/4,-z'
'x,-y+1/4,-z+1/4'
'-x,y+1/4,z+1/4'
'-x+1/4,y,-z+1/4'
'x+1/4,-y,z+1/4'
'x,y+1/2,z+1/2'
'-x,-y+1/2,-z+1/2'
'-x+1/4,-y+3/4,z+1/2'
'x+1/4,y+3/4,-z+1/2'
'x,-y+3/4,-z+3/4'
'-x,y+3/4,z+3/4'
'-x+1/4,y+1/2,-z+3/4'
'x+1/4,-y+1/2,z+3/4'
'x+1/2,y,z+1/2'
'-x+1/2,-y,-z+1/2'
'-x+3/4,-y+1/4,z+1/2'
'x+3/4,y+1/4,-z+1/2'
'x+1/2,-y+1/4,-z+3/4'
'-x+1/2,y+1/4,z+3/4'
'-x+3/4,y,-z+3/4'
'x+3/4,-y,z+3/4'
'x+1/2,y+1/2,z'
'-x+1/2,-y+1/2,-z'
'-x+3/4,-y+3/4,z'
'x+3/4,y+3/4,-z'
'x+1/2,-y+3/4,-z+1/4'
'-x+1/2,y+3/4,z+1/4'
'-x+3/4,y+1/2,-z+1/4'
'x+3/4,-y+1/2,z+1/4'
loop_
_atom_site_label
_atom_site_type_symbol
_atom_site_fract_x
_atom_site_fract_y
_atom_site_fract_z
_atom_site_occupancy
Tl1 Tl 0.1250 0.1250 0.3036 1
Fe1 Fe 0.1250 0.1250 0.1250 1
Si1 Si 0.1250 0.1250 0.6250 1
O1 O 0.0766 0.2871 0.8349 1
```

Main lines, by angle (5 to 70 degrees two-theta):
- (1 1 3), 22.86°, d = 3.891 Å, rel. 100
- (1 1 5), 28.88°, d = 3.092 Å, rel. 43
- (0 2 6), 30.65°, d = 2.917 Å, rel. 82
- (1 3 3), 31.97°, d = 2.800 Å, rel. 58
- (1 3 5), 36.63°, d = 2.453 Å, rel. 41
- (2 2 0), 37.90°, d = 2.374 Å, rel. 49

For ZnFeSiO4, a crystal structure in Alexandria, relaxed with GGA+U gives the calculated XRD peak list in this record (CuKα).
Kinematic intensities with the Lorentz-polarization factor, no thermal factor.

Structure:
```
data_ZnFeSiO4
_chemical_formula_sum 'Zn4 Fe4 Si4 O16'
_space_group_name_H-M_alt 'C m c m'
_space_group_IT_number 63
_space_group_name_Hall '-C 2c 2'
_cell_length_a 5.7825
_cell_length_b 8.7179
_cell_length_c 6.1484
_cell_angle_alpha 90.00
_cell_angle_beta 90.00
_cell_angle_gamma 90.00
loop_
_atom_site_label
_atom_site_type_symbol
_atom_site_fract_x
_atom_site_fract_y
_atom_site_fract_z
_atom_site_occupancy
Zn1 Zn 0.0000 0.1611 0.2500 1
Fe1 Fe 0.0000 0.5000 0.0000 1
Si1 Si 0.0000 0.1490 0.7500 1
O1 O 0.0000 0.2597 0.5339 1
O2 O 0.2248 0.0285 0.7500 1
```

Main lines, by angle (5 to 70 degrees two-theta):
- (2 0 0), 30.93°, d = 2.891 Å, rel. 35
- (1 3 0), 34.58°, d = 2.594 Å, rel. 100
- (2 2 2), 47.97°, d = 1.896 Å, rel. 14
- (0 4 2), 51.39°, d = 1.778 Å, rel. 10
- (3 3 0), 57.38°, d = 1.606 Å, rel. 20
- (2 4 2), 61.20°, d = 1.515 Å, rel. 20

For SmZrFe2O6, a crystal structure in Alexandria, relaxed with GGA+U gives the calculated XRD peak list in this record (CuKα).
Kinematic intensities with the Lorentz-polarization factor, no thermal factor.

Structure:
```
data_SmZrFe2O6
_chemical_formula_sum 'Sm1 Zr1 Fe2 O6'
_space_group_name_H-M_alt 'P 1'
_space_group_IT_number 1
_space_group_name_Hall 'P 1'
_cell_length_a 5.4008
_cell_length_b 5.4391
_cell_length_c 5.7193
_cell_angle_alpha 62.74
_cell_angle_beta 62.92
_cell_angle_gamma 61.01
loop_
_atom_site_label
_atom_site_type_symbol
_atom_site_fract_x
_atom_site_fract_y
_atom_site_fract_z
_atom_site_occupancy
Sm1 Sm 0.0000 0.0000 0.0000 1
Zr1 Zr 0.5068 0.5185 0.4581 1
Fe1 Fe 0.2137 0.2150 0.3537 1
Fe2 Fe 0.7154 0.7251 0.8267 1
O1 O 0.1137 0.8409 0.6091 1
O2 O 0.3426 0.5560 0.1517 1
O3 O 0.4181 0.1276 0.6168 1
O4 O 0.5665 0.9238 0.1341 1
O5 O 0.8053 0.4396 0.6387 1
O6 O 0.9286 0.3561 0.1540 1
```

Main lines, by angle (5 to 70 degrees two-theta):
- (1 1 0), 22.43°, d = 3.964 Å, rel. 48
- (1 0 -1), 30.86°, d = 2.898 Å, rel. 100
- (1 1 2), 31.43°, d = 2.846 Å, rel. 47
- (1 -1 0), 32.55°, d = 2.751 Å, rel. 46
- (1 2 1), 32.95°, d = 2.719 Å, rel. 41
- (2 1 1), 33.18°, d = 2.700 Å, rel. 41

For TbFe2SnO6, a crystal structure in Alexandria, relaxed with GGA+U gives the calculated XRD peak list in this record (CuKα).
Kinematic intensities with the Lorentz-polarization factor, no thermal factor.

Structure:
```
data_TbFe2SnO6
_chemical_formula_sum 'Tb1 Fe2 Sn1 O6'
_space_group_name_H-M_alt 'P 1'
_space_group_IT_number 1
_space_group_name_Hall 'P 1'
_cell_length_a 5.3327
_cell_length_b 5.3472
_cell_length_c 5.7091
_cell_angle_alpha 62.26
_cell_angle_beta 63.21
_cell_angle_gamma 60.16
loop_
_atom_site_label
_atom_site_type_symbol
_atom_site_fract_x
_atom_site_fract_y
_atom_site_fract_z
_atom_site_occupancy
Tb1 Tb 0.0000 0.0000 0.0000 1
Fe1 Fe 0.2131 0.2120 0.3733 1
Fe2 Fe 0.7261 0.7311 0.8269 1
Sn1 Sn 0.5195 0.5212 0.4489 1
O1 O 0.1298 0.8293 0.6281 1
O2 O 0.3412 0.5600 0.1632 1
O3 O 0.4286 0.1211 0.6340 1
O4 O 0.5595 0.9430 0.1624 1
O5 O 0.8334 0.4224 0.6294 1
O6 O 0.9335 0.3516 0.1545 1
```

Main lines, by angle (5 to 70 degrees two-theta):
- (0 1 1), 22.67°, d = 3.922 Å, rel. 72
- (1 0 -1), 30.99°, d = 2.885 Å, rel. 57
- (0 1 -1), 31.41°, d = 2.848 Å, rel. 55
- (1 1 2), 31.51°, d = 2.839 Å, rel. 54
- (1 2 1), 33.50°, d = 2.675 Å, rel. 100
- (2 1 1), 33.62°, d = 2.666 Å, rel. 51

For FeSnTeO6, a crystal structure in Alexandria, relaxed with GGA+U gives the calculated XRD peak list in this record (CuKα).
Kinematic intensities with the Lorentz-polarization factor, no thermal factor.

Structure:
```
data_FeSnTeO6
_chemical_formula_sum 'Fe2 Sn2 Te2 O12'
_space_group_name_H-M_alt 'P -3 1 c'
_space_group_IT_number 163
_space_group_name_Hall '-P 3 2c'
_cell_length_a 5.1549
_cell_length_b 5.1549
_cell_length_c 9.1816
_cell_angle_alpha 90.00
_cell_angle_beta 90.00
_cell_angle_gamma 120.00
loop_
_atom_site_label
_atom_site_type_symbol
_atom_site_fract_x
_atom_site_fract_y
_atom_site_fract_z
_atom_site_occupancy
Fe1 Fe 0.3333 0.6667 0.2500 1
Sn1 Sn 0.0000 0.0000 0.0000 1
Te1 Te 0.3333 0.6667 0.7500 1
O1 O 0.0007 0.3489 0.6328 1
```

Main lines, by angle (5 to 70 degrees two-theta):
- (1 0 2), 27.88°, d = 3.201 Å, rel. 100
- (1 1 0), 34.81°, d = 2.577 Å, rel. 40
- (2 0 2), 45.17°, d = 2.007 Å, rel. 27
- (1 1 4), 53.45°, d = 1.714 Å, rel. 43
- (2 1 2), 58.26°, d = 1.584 Å, rel. 25
- (3 0 0), 62.40°, d = 1.488 Å, rel. 16